# Li7Mn4P6O24
Theoretical X-ray diffraction stick pattern, a wavelength of 1.5418 Å. Input: a PBE+U-relaxed structure.

Most intense lines, 2θ from 10° to 90°, by intensity:
- (1 1 1), 14.5 deg, 6.111 Å, I 100
- (1 2 -1), 24.3 deg, 3.660 Å, I 80
- (0 2 -2), 29.2 deg, 3.055 Å, I 72
- (2 1 0), 24.0 deg, 3.712 Å, I 69
- (2 1 3), 32.0 deg, 2.797 Å, I 61
- (1 -1 0), 23.4 deg, 3.794 Å, I 59

Crystal structure
Unit cell a=8.357 b=8.409 c=8.958 alpha=89.73 beta=63.20 gamma=61.11
Space group P1 (No. 1)
Inequivalent atoms, fractional coordinates:
Li (0.000, 0.000, 0.000) x1
Li (0.044, 0.158, 0.516) x1
Li (0.130, 0.786, 0.282) x1
Li (0.346, 0.387, 0.002) x1
Li (0.538, 0.047, 0.284) x1
Li (0.745, 0.648, 0.000) x1
Li (0.879, 0.442, 0.282) x1
Mn (0.232, 0.567, 0.703) x1
Mn (0.260, 0.058, 0.165) x1
Mn (0.630, 0.374, 0.103) x1
Mn (0.641, 0.875, 0.587) x1
P (0.130, 0.274, 0.893) x1
P (0.150, 0.465, 0.397) x1
P (0.435, 0.677, 0.892) x1
P (0.445, 0.750, 0.399) x1
P (0.730, 0.172, 0.398) x1
P (0.732, 0.980, 0.895) x1
O (0.057, 0.477, 0.866) x1
O (0.117, 0.554, 0.565) x1
O (0.167, 0.282, 0.050) x1
O (0.233, 0.251, 0.370) x1
O (0.237, 0.859, 0.043) x1
O (0.268, 0.885, 0.361) x1
O (0.314, 0.494, 0.236) x1
O (0.322, 0.115, 0.735) x1
O (0.345, 0.564, 0.859) x1
O (0.356, 0.696, 0.565) x1
O (0.521, 0.307, 0.558) x1
O (0.552, 0.852, 0.415) x1
O (0.558, 0.721, 0.729) x1
O (0.589, 0.556, 0.955) x1
O (0.592, 0.926, 0.048) x1
O (0.630, 0.568, 0.240) x1
O (0.631, 0.198, 0.954) x1
O (0.706, 0.174, 0.232) x1
O (0.729, 0.941, 0.729) x1
O (0.812, 0.961, 0.407) x1
O (0.909, 0.207, 0.364) x1
O (0.940, 0.247, 0.950) x1
O (0.940, 0.577, 0.399) x1
O (0.956, 0.867, 0.866) x1